# 1
Diffraction record for CdIn7Hg4. The PXRD pattern is theoretical, not measured: it uses DFT lattice parameters and positions (PBE) and Cu Kα (λ = 1.5418 Å).
No peak broadening, texture or thermal motion is included.

Cell and atoms:
```
data_CdIn7Hg4
_chemical_formula_sum 'Cd1 In7 Hg4'
_cell_length_a 3.6989
_cell_length_b 3.6989
_cell_length_c 26.8922
_cell_angle_alpha 90.00
_cell_angle_beta 90.00
_cell_angle_gamma 120.00
_space_group_name_H-M_alt 'P -3 m 1'
_space_group_IT_number 164
_space_group_name_Hall '-P 3 2"'
loop_
_atom_site_label
_atom_site_type_symbol
_atom_site_fract_x
_atom_site_fract_y
_atom_site_fract_z
Cd1 Cd 0.0000 0.0000 0.0000
In1 In 0.0000 0.0000 0.2473
In2 In 0.0000 0.0000 0.5000
In3 In 0.3333 0.6667 0.6649
In4 In 0.3333 0.6667 0.9169
Hg1 Hg 0.3333 0.6667 0.1656
Hg2 Hg 0.3333 0.6667 0.4173
```

Most intense lines, 2θ from 10° to 90°, low angle first:
two_theta, Rel. int., index
30.92, 1000, 1 0 4
38.83, 543, 0 1 8
40.24, 161, 0 0 12
49.27, 270, 1 1 0
59.31, 155, 0 2 4
65.43, 226, 1 1 12

=====

# 2
Diffraction record for Dy9Sb5O5. The PXRD pattern is theoretical, not measured: it uses DFT lattice parameters and positions (PBE) and Cu Kα (λ = 1.5418 Å).
No peak broadening, texture or thermal motion is included.

Cell and atoms:
```
data_Dy9Sb5O5
_chemical_formula_sum 'Dy18 Sb10 O10'
_cell_length_a 9.8722
_cell_length_b 9.8722
_cell_length_c 8.8808
_cell_angle_alpha 90.00
_cell_angle_beta 90.00
_cell_angle_gamma 90.00
_space_group_name_H-M_alt 'P 4/n'
_space_group_IT_number 85
loop_
_space_group_symop_operation_xyz
'x,y,z'
'-x,-y,-z'
'-y+1/2,x,z'
'y+1/2,-x,-z'
'-x+1/2,-y+1/2,z'
'x+1/2,y+1/2,-z'
'y,-x+1/2,z'
'-y,x+1/2,-z'
loop_
_atom_site_label
_atom_site_type_symbol
_atom_site_fract_x
_atom_site_fract_y
_atom_site_fract_z
Dy1 Dy 0.0241 0.3326 0.0017
Dy2 Dy 0.0445 0.8545 0.6584
Dy3 Dy 0.2500 0.2500 0.6723
Sb1 Sb 0.0545 0.8457 0.3022
Sb2 Sb 0.2500 0.2500 0.3186
O1 O 0.0251 0.8700 0.9135
O2 O 0.2500 0.2500 0.9364
```

Most intense lines, 2θ from 10° to 90°, low angle first:
two_theta, Rel. int., index
28.58, 432, 3 1 0
30.19, 686, 0 0 3
30.35, 1000, 3 1 1
35.14, 928, 3 1 2
40.88, 625, 2 4 0
51.65, 537, 2 4 3

=====

# 3
Diffraction record for AcPr2Ge2Pd7. The PXRD pattern is theoretical, not measured: it uses DFT lattice parameters and positions (PBE) and Cu Kα (λ = 1.5418 Å).
No peak broadening, texture or thermal motion is included.

Cell and atoms:
```
data_AcPr2Ge2Pd7
_chemical_formula_sum 'Ac2 Pr4 Ge4 Pd14'
_cell_length_a 6.0407
_cell_length_b 5.9397
_cell_length_c 14.0740
_cell_angle_alpha 90.00
_cell_angle_beta 98.70
_cell_angle_gamma 90.00
_space_group_name_H-M_alt 'C 1 2/m 1'
_space_group_IT_number 12
_space_group_name_Hall '-C 2y'
loop_
_atom_site_label
_atom_site_type_symbol
_atom_site_fract_x
_atom_site_fract_y
_atom_site_fract_z
Ac1 Ac 0.0000 0.0000 0.0000
Pr1 Pr 0.1147 0.0000 0.3538
Ge1 Ge 0.0904 0.5000 0.2568
Pd1 Pd 0.0000 0.5000 0.0000
Pd2 Pd 0.1420 0.5000 0.4350
Pd3 Pd 0.1934 0.2506 0.8378
```

Most intense lines, 2θ from 10° to 90°, low angle first:
two_theta, Rel. int., index
30.12, 457, 0 2 0
33.14, 488, 2 0 -3
34.43, 673, 2 0 2
35.91, 1000, 0 2 3
42.45, 377, 1 1 -6
42.75, 992, 2 2 -1

=====

# 4
Diffraction record for PuZn12Ga7. The PXRD pattern is theoretical, not measured: it uses DFT lattice parameters and positions (PBE) and Cu Kα (λ = 1.5418 Å).
No peak broadening, texture or thermal motion is included.

Cell and atoms:
```
data_PuZn12Ga7
_chemical_formula_sum 'Pu3 Zn36 Ga21'
_cell_length_a 13.8326
_cell_length_b 13.8326
_cell_length_c 6.2901
_cell_angle_alpha 90.00
_cell_angle_beta 90.00
_cell_angle_gamma 120.00
_space_group_name_H-M_alt 'R -3 m'
_space_group_IT_number 166
_space_group_name_Hall '-R 3 2"'
loop_
_atom_site_label
_atom_site_type_symbol
_atom_site_fract_x
_atom_site_fract_y
_atom_site_fract_z
Pu1 Pu 0.0000 0.0000 0.0000
Zn1 Zn 0.0000 0.2666 0.0000
Zn2 Zn 0.1061 0.5530 0.9550
Ga1 Ga 0.0000 0.0000 0.5000
Ga2 Ga 0.1103 0.5552 0.3694
```

Most intense lines, 2θ from 10° to 90°, low angle first:
two_theta, Rel. int., index
30.43, 360, 1 3 1
33.13, 549, 4 0 1
34.73, 511, 1 2 2
39.07, 1000, 3 3 0
39.45, 478, 3 1 2
41.64, 656, 0 4 2

=====

# 5
Diffraction record for Pu4Pa3S8. The PXRD pattern is theoretical, not measured: it uses DFT lattice parameters and positions (PBE) and Cu Kα (λ = 1.5418 Å).
No peak broadening, texture or thermal motion is included.

Cell and atoms:
```
data_Pu4Pa3S8
_chemical_formula_sum 'Pu8 Pa6 S16'
_cell_length_a 11.0090
_cell_length_b 11.0581
_cell_length_c 7.7949
_cell_angle_alpha 90.00
_cell_angle_beta 134.81
_cell_angle_gamma 90.00
_space_group_name_H-M_alt 'C 1 2/m 1'
_space_group_IT_number 12
_space_group_name_Hall '-C 2y'
loop_
_atom_site_label
_atom_site_type_symbol
_atom_site_fract_x
_atom_site_fract_y
_atom_site_fract_z
Pu1 Pu 0.0000 0.0000 0.0000
Pu2 Pu 0.0000 0.0000 0.5000
Pu3 Pu 0.2500 0.2500 0.0000
Pa1 Pa 0.0000 0.5000 0.0000
Pa2 Pa 0.2500 0.2500 0.5000
S1 S 0.0000 0.2496 0.0000
S2 S 0.0000 0.2542 0.5000
S3 S 0.2455 0.5000 0.4997
S4 S 0.2448 0.5000 0.9946
```

Most intense lines, 2θ from 10° to 90°, low angle first:
two_theta, Rel. int., index
27.99, 1000, 2 2 0
32.38, 686, 0 4 0
32.53, 339, 4 0 -2
46.47, 379, 4 0 0
46.58, 376, 4 4 -2
55.11, 337, 2 6 0

=====

# 6
Diffraction record for Nd2InTe. The PXRD pattern is theoretical, not measured: it uses DFT lattice parameters and positions (PBE) and Cu Kα (λ = 1.5418 Å).
No peak broadening, texture or thermal motion is included.

Cell and atoms:
```
data_Nd2InTe
_chemical_formula_sum 'Nd8 In4 Te4'
_cell_length_a 6.3788
_cell_length_b 6.3788
_cell_length_c 14.2963
_cell_angle_alpha 90.00
_cell_angle_beta 116.46
_cell_angle_gamma 90.00
_space_group_name_H-M_alt 'P 1 2/c 1'
_space_group_IT_number 13
_space_group_name_Hall '-P 2yc'
loop_
_atom_site_label
_atom_site_type_symbol
_atom_site_fract_x
_atom_site_fract_y
_atom_site_fract_z
Nd1 Nd 0.1202 0.2484 0.1204
Nd2 Nd 0.3705 0.2523 0.8705
In1 In 0.3753 0.2477 0.3750
Te1 Te 0.1250 0.2516 0.6250
```

Most intense lines, 2θ from 10° to 90°, low angle first:
two_theta, Rel. int., index
27.95, 1000, 0 2 0
39.93, 764, 2 2 -2
49.44, 273, 2 2 2
65.25, 115, 2 0 6
65.41, 234, 4 2 -4
72.56, 171, 4 2 0

=====

# 7
Diffraction record for PaAg3I8. The PXRD pattern is theoretical, not measured: it uses DFT lattice parameters and positions (PBE) and Cu Kα (λ = 1.5418 Å).
No peak broadening, texture or thermal motion is included.

Cell and atoms:
```
data_PaAg3I8
_chemical_formula_sum 'Pa2 Ag6 I16'
_cell_length_a 15.3925
_cell_length_b 8.8932
_cell_length_c 8.9515
_cell_angle_alpha 90.00
_cell_angle_beta 125.36
_cell_angle_gamma 90.00
_space_group_name_H-M_alt 'C 1 2/m 1'
_space_group_IT_number 12
_space_group_name_Hall '-C 2y'
loop_
_atom_site_label
_atom_site_type_symbol
_atom_site_fract_x
_atom_site_fract_y
_atom_site_fract_z
Pa1 Pa 0.0000 0.0000 0.0000
Ag1 Ag 0.0000 0.5000 0.0000
Ag2 Ag 0.2500 0.2500 0.5000
I1 I 0.0073 0.2295 0.7668
I2 I 0.2259 0.5000 0.2770
I3 I 0.2362 0.0000 0.2248
```

Most intense lines, 2θ from 10° to 90°, low angle first:
two_theta, Rel. int., index
12.16, 869, 2 0 -1
23.41, 237, 0 2 1
28.29, 1000, 2 2 -2
28.44, 496, 4 0 0
40.52, 569, 0 4 0
40.60, 316, 6 2 -2

=====

# 8
Diffraction record for LiAg2O4. The PXRD pattern is theoretical, not measured: it uses DFT lattice parameters and positions (PBE) and Cu Kα (λ = 1.5418 Å).
No peak broadening, texture or thermal motion is included.

Cell and atoms:
```
data_LiAg2O4
_chemical_formula_sum 'Li2 Ag4 O8'
_cell_length_a 5.7508
_cell_length_b 11.8464
_cell_length_c 3.3547
_cell_angle_alpha 90.00
_cell_angle_beta 90.00
_cell_angle_gamma 90.00
_space_group_name_H-M_alt 'C m m m'
_space_group_IT_number 65
_space_group_name_Hall '-C 2 2'
loop_
_atom_site_label
_atom_site_type_symbol
_atom_site_fract_x
_atom_site_fract_y
_atom_site_fract_z
Li1 Li 0.0000 0.0000 0.0000
Ag1 Ag 0.0000 0.2622 0.5000
O1 O 0.1197 0.0000 0.5000
O2 O 0.2500 0.2500 0.0000
```

Most intense lines, 2θ from 10° to 90°, low angle first:
two_theta, Rel. int., index
14.96, 1000, 0 2 0
26.57, 266, 0 0 1
30.18, 331, 0 4 0
30.63, 192, 0 2 1
41.36, 212, 2 0 1
44.21, 355, 2 2 1

=====

# 9
Diffraction record for Sr19In8N7. The PXRD pattern is theoretical, not measured: it uses DFT lattice parameters and positions (PBE) and Cu Kα (λ = 1.5418 Å).
No peak broadening, texture or thermal motion is included.

Cell and atoms:
```
data_Sr19In8N7
_chemical_formula_sum 'Sr76 In32 N28'
_cell_length_a 15.7529
_cell_length_b 15.7529
_cell_length_c 15.7529
_cell_angle_alpha 90.00
_cell_angle_beta 90.00
_cell_angle_gamma 90.00
_space_group_name_H-M_alt 'F m -3 m'
_space_group_IT_number 225
_space_group_name_Hall '-F 4 2 3'
loop_
_atom_site_label
_atom_site_type_symbol
_atom_site_fract_x
_atom_site_fract_y
_atom_site_fract_z
Sr1 Sr 0.0000 0.0000 0.0000
Sr2 Sr 0.0000 0.0000 0.3333
Sr3 Sr 0.0000 0.1647 0.1647
In1 In 0.1781 0.1781 0.3219
N1 N 0.0000 0.0000 0.1740
N2 N 0.0000 0.0000 0.5000
```

Most intense lines, 2θ from 10° to 90°, low angle first:
two_theta, Rel. int., index
29.46, 1000, 3 3 3
34.15, 581, 6 0 0
49.07, 390, 6 6 0
58.28, 378, 9 3 3
79.58, 146, 9 9 3
82.08, 139, 12 6 0